Structure and simulated PXRD pattern of BaGa2H6 (the PBE geometry in Alexandria; a wavelength of 1.5418 Å).

Most intense lines, 10 to 80 degrees two-theta, low angle first:
- 20.05 deg, rel. 44.3
- 33.04 deg, rel. 100.0
- 38.95 deg, rel. 26.8
- 47.42 deg, rel. 17.7
- 51.97 deg, rel. 12.1
- 59.00 deg, rel. 35.6
- 69.31 deg, rel. 10.9
- 78.95 deg, rel. 15.4

Structure:
```
data_BaGa2H6
_chemical_formula_sum 'Ba1 Ga2 H6'
_cell_length_a 5.423
_cell_length_b 5.423
_cell_length_c 5.423
_cell_angle_alpha 60.00
_cell_angle_beta 60.00
_cell_angle_gamma 60.00
_symmetry_space_group_name_H-M 'P 1'
_symmetry_Int_Tables_number 1
loop_
_symmetry_equiv_pos_as_xyz
'x,y,z'
loop_
_atom_site_label
_atom_site_type_symbol
_atom_site_fract_x
_atom_site_fract_y
_atom_site_fract_z
Ba1 Ba 0.000 0.000 0.000
Ga1 Ga 0.250 0.250 0.250
Ga2 Ga 0.750 0.750 0.750
H1 H 0.376 0.376 0.624
H2 H 0.376 0.624 0.376
H3 H 0.376 0.624 0.624
H4 H 0.624 0.376 0.376
H5 H 0.624 0.376 0.624
H6 H 0.624 0.624 0.376
```

---

Structure and simulated PXRD pattern of K2ZrHg2I6 (the PBE geometry in Alexandria; a wavelength of 1.5418 Å).

Most intense lines, 10 to 80 degrees two-theta, low angle first:
- 12.65 deg, rel. 45.5
- 15.44 deg, rel. 38.4
- 24.20 deg, rel. 52.7
- 24.96 deg, rel. 100.0
- 26.18 deg, rel. 25.7
- 32.42 deg, rel. 25.5
- 33.31 deg, rel. 32.8
- 36.72 deg, rel. 34.5

Structure:
```
data_K2ZrHg2I6
_chemical_formula_sum 'K2 Zr1 Hg2 I6'
_cell_length_a 8.564
_cell_length_b 8.564
_cell_length_c 9.609
_cell_angle_alpha 99.90
_cell_angle_beta 99.90
_cell_angle_gamma 120.81
_symmetry_space_group_name_H-M 'P 1'
_symmetry_Int_Tables_number 1
loop_
_symmetry_equiv_pos_as_xyz
'x,y,z'
loop_
_atom_site_label
_atom_site_type_symbol
_atom_site_fract_x
_atom_site_fract_y
_atom_site_fract_z
K1 K 0.168 0.832 0.000
K2 K 0.832 0.168 0.000
Zr1 Zr 0.500 0.500 0.000
Hg1 Hg 0.311 0.689 0.500
Hg2 Hg 0.689 0.311 0.500
I1 I 0.152 0.424 0.810
I2 I 0.297 0.297 0.188
I3 I 0.424 0.152 0.810
I4 I 0.576 0.848 0.190
I5 I 0.703 0.703 0.812
I6 I 0.848 0.576 0.190
```

---

Structure and simulated PXRD pattern of CsKN4 (the PBE geometry in Alexandria; a wavelength of 1.5418 Å).

Most intense lines, 10 to 80 degrees two-theta, low angle first:
- 15.01 deg, rel. 53.0
- 23.50 deg, rel. 88.0
- 26.77 deg, rel. 100.0
- 28.04 deg, rel. 50.6
- 38.22 deg, rel. 31.1
- 39.15 deg, rel. 66.5
- 45.36 deg, rel. 46.0
- 48.07 deg, rel. 30.6

Structure:
```
data_CsKN4
_chemical_formula_sum 'Cs2 K2 N8'
_cell_length_a 7.918
_cell_length_b 7.918
_cell_length_c 7.918
_cell_angle_alpha 130.26
_cell_angle_beta 130.26
_cell_angle_gamma 72.99
_symmetry_space_group_name_H-M 'P 1'
_symmetry_Int_Tables_number 1
loop_
_symmetry_equiv_pos_as_xyz
'x,y,z'
loop_
_atom_site_label
_atom_site_type_symbol
_atom_site_fract_x
_atom_site_fract_y
_atom_site_fract_z
Cs1 Cs 0.375 0.625 0.750
Cs2 Cs 0.625 0.375 0.250
K1 K 0.125 0.875 0.250
K2 K 0.875 0.125 0.750
N1 N 0.117 0.278 0.662
N2 N 0.117 0.455 0.838
N3 N 0.278 0.117 0.162
N4 N 0.455 0.117 0.338
N5 N 0.545 0.883 0.662
N6 N 0.722 0.883 0.838
N7 N 0.883 0.545 0.162
N8 N 0.883 0.722 0.338
```